Structure and computed powder X-ray diffraction pattern of TaCr3Cu2S8 (a cell relaxed with PBE; Cu Kα).
Lines closer than 0.1° are merged.

Cell and atoms:
Cell lengths 5.7184, 7.0609, 12.0379 Å; angles 90.00, 90.78, 90.00 degrees
Space group P2_1/m (No. 11)
Unique sites:
1 Ta 0.0236 0.2500 0.2469 [2 per cell]
2 Cr 0.0000 0.0000 0.5000 [2 per cell]
3 Cr 0.4807 0.2500 0.7432 [2 per cell]
4 Cr 0.5000 0.0000 0.0000 [2 per cell]
5 Cu 0.0876 0.2500 0.9085 [2 per cell]
6 Cu 0.3973 0.2500 0.4038 [2 per cell]
7 S 0.2149 0.7500 0.5841 [2 per cell]
8 S 0.2386 0.5134 0.3310 [4 per cell]
9 S 0.2407 0.2500 0.5791 [2 per cell]
10 S 0.2609 0.2500 0.0831 [2 per cell]
11 S 0.2638 0.5058 0.8315 [4 per cell]
12 S 0.2996 0.7500 0.0876 [2 per cell]

Top 8 peaks for 2θ from 10° to 90°, in order of rising 2θ:
| index | 2theta | Rel. int. |
| --- | --- | --- |
| 0 1 1 | 14.54 | 70.1 |
| 1 0 -2 | 21.26 | 100.0 |
| 1 1 1 | 21.39 | 60.6 |
| 1 1 -3 | 29.84 | 97.0 |
| 1 1 3 | 30.17 | 94.3 |
| 1 0 -4 | 33.44 | 79.7 |
| 2 2 -2 | 43.26 | 60.6 |
| 0 2 6 | 52.46 | 89.9 |

Structure and computed powder X-ray diffraction pattern of TaCr3Cu2S8 (a cell relaxed with PBE; Cu Kα).
Lines closer than 0.1° are merged.

Cell and atoms:
Cell lengths 5.7662, 12.1623, 8.8969 Å; angles 90.00, 129.15, 90.00 degrees
Space group P2_1/c (No. 14)
Unique sites:
1 Ta 0.0000 0.0000 0.0000 [2 per cell]
2 Cr 0.2283 0.2464 0.7338 [4 per cell]
3 Cr 0.5000 0.0000 0.5000 [2 per cell]
4 Cu 0.1576 0.5849 0.2633 [4 per cell]
5 S 0.0100 0.5857 0.7591 [4 per cell]
6 S 0.2546 0.6715 0.5191 [4 per cell]
7 S 0.2664 0.1692 0.4949 [4 per cell]
8 S 0.4726 0.0886 0.2509 [4 per cell]

Top 8 peaks for 2θ from 10° to 90°, in order of rising 2θ:
| index | 2theta | Rel. int. |
| --- | --- | --- |
| 0 2 0 | 14.57 | 82.9 |
| 0 1 1 | 14.76 | 81.2 |
| 1 1 -1 | 17.02 | 91.4 |
| 1 1 1 | 30.81 | 92.8 |
| 1 1 -3 | 31.38 | 92.1 |
| 2 4 -2 | 43.25 | 70.8 |
| 2 2 -4 | 43.97 | 68.3 |
| 0 6 2 | 52.35 | 100.0 |